# 1
# Dy2ErTm2Lu2Ni2Te2
Simulated powder diffraction line list, Cu Kα X-rays. Input: a PBE-relaxed structure.

Atomic structure:
Unit cell a=3.810 b=15.408 c=9.495 alpha=90.00 beta=90.00 gamma=90.00
Space group Imm2 (No. 44)
Symmetry-distinct sites (fractional):
Dy1 0.000 0.185 0.000 x4
Er1 0.000 0.500 0.624 x2
Tm1 0.000 0.366 0.204 x4
Lu1 0.000 0.146 0.351 x4
Ni1 0.000 0.264 0.695 x4
Te1 0.000 0.000 0.855 x2
Te2 0.000 0.500 0.961 x2

The 10 most intense peaks (2θ from 15° to 90°), by angle:
2θ = 29.18°, I 21, hkl 1 3 0
2θ = 30.50°, I 21, hkl 0 5 1
2θ = 30.64°, I 52, hkl 1 1 2
2θ = 33.25°, I 79, hkl 0 3 3
2θ = 34.43°, I 100, hkl 1 4 1
2θ = 34.90°, I 71, hkl 0 6 0
2θ = 36.92°, I 22, hkl 1 0 3
2θ = 47.74°, I 29, hkl 2 0 0
2θ = 51.70°, I 27, hkl 1 7 2
2θ = 59.42°, I 37, hkl 2 3 3



# 2
# DyY2Er2Lu2Ni2Te2
Simulated powder diffraction line list, Cu Kα X-rays. Input: a PBE-relaxed structure.

Atomic structure:
Unit cell a=3.824 b=15.472 c=9.520 alpha=90.00 beta=90.00 gamma=90.00
Space group Imm2 (No. 44)
Symmetry-distinct sites (fractional):
Dy1 0.000 0.000 0.000 x2
Y1 0.000 0.315 0.621 x4
Er1 0.000 0.132 0.419 x4
Lu1 0.000 0.353 0.270 x4
Ni1 0.000 0.238 0.927 x4
Te1 0.000 0.000 0.665 x2
Te2 0.000 0.500 0.766 x2

The 10 most intense peaks (2θ from 15° to 90°), by angle:
2θ = 28.72°, I 14, hkl 0 1 3
2θ = 30.54°, I 49, hkl 1 1 2
2θ = 33.15°, I 61, hkl 0 3 3
2θ = 34.29°, I 100, hkl 1 4 1
2θ = 34.77°, I 49, hkl 0 6 0
2θ = 38.66°, I 14, hkl 1 2 3
2θ = 45.26°, I 15, hkl 1 1 4
2θ = 47.55°, I 23, hkl 2 0 0
2θ = 51.49°, I 25, hkl 1 7 2
2θ = 59.20°, I 30, hkl 2 3 3



# 3
# DyY2Er2Lu2Ni2Te2
Simulated powder diffraction line list, Cu Kα X-rays. Input: a PBE-relaxed structure.

Atomic structure:
Unit cell a=3.851 b=15.540 c=9.532 alpha=90.00 beta=90.00 gamma=90.00
Space group Imm2 (No. 44)
Symmetry-distinct sites (fractional):
Dy1 0.000 0.000 0.000 x2
Y1 0.000 0.353 0.267 x4
Er1 0.000 0.133 0.417 x4
Lu1 0.000 0.315 0.619 x4
Ni1 0.000 0.239 0.930 x4
Te1 0.000 0.000 0.662 x2
Te2 0.000 0.500 0.764 x2

The 10 most intense peaks (2θ from 15° to 90°), by angle:
2θ = 24.94°, I 25, hkl 1 0 1
2θ = 30.25°, I 29, hkl 0 5 1
2θ = 30.39°, I 49, hkl 1 1 2
2θ = 33.07°, I 81, hkl 0 3 3
2θ = 34.10°, I 100, hkl 1 4 1
2θ = 34.60°, I 94, hkl 0 6 0
2θ = 36.67°, I 22, hkl 1 0 3
2θ = 38.52°, I 22, hkl 1 2 3
2θ = 47.20°, I 35, hkl 2 0 0
2θ = 58.84°, I 31, hkl 2 3 3



# 4
# DyY2Er2Lu2Ni2Te2
Simulated powder diffraction line list, Cu Kα X-rays. Input: a PBE-relaxed structure.

Atomic structure:
Unit cell a=3.826 b=15.494 c=9.508 alpha=90.00 beta=90.00 gamma=90.00
Space group Imm2 (No. 44)
Symmetry-distinct sites (fractional):
Dy1 0.000 0.000 0.000 x2
Y1 0.000 0.131 0.419 x4
Er1 0.000 0.315 0.620 x4
Lu1 0.000 0.353 0.270 x4
Ni1 0.000 0.237 0.928 x4
Te1 0.000 0.000 0.666 x2
Te2 0.000 0.500 0.764 x2

The 10 most intense peaks (2θ from 15° to 90°), by angle:
2θ = 29.04°, I 48, hkl 1 3 0
2θ = 30.34°, I 25, hkl 0 5 1
2θ = 30.54°, I 54, hkl 1 1 2
2θ = 33.17°, I 90, hkl 0 3 3
2θ = 34.26°, I 100, hkl 1 4 1
2θ = 34.75°, I 73, hkl 0 6 0
2θ = 36.83°, I 36, hkl 1 0 3
2θ = 38.68°, I 29, hkl 1 2 3
2θ = 47.53°, I 32, hkl 2 0 0
2θ = 59.20°, I 41, hkl 2 3 3



# 5
# DyY2Er2Lu2Ni2Te2
Simulated powder diffraction line list, Cu Kα X-rays. Input: a PBE-relaxed structure.

Atomic structure:
Unit cell a=3.834 b=15.441 c=9.528 alpha=90.00 beta=90.00 gamma=90.00
Space group Imm2 (No. 44)
Symmetry-distinct sites (fractional):
Dy1 0.000 0.000 0.000 x2
Y1 0.000 0.132 0.418 x4
Er1 0.000 0.352 0.271 x4
Lu1 0.000 0.315 0.620 x4
Ni1 0.000 0.236 0.930 x4
Te1 0.000 0.000 0.666 x2
Te2 0.000 0.500 0.763 x2

The 10 most intense peaks (2θ from 15° to 90°), by angle:
2θ = 29.04°, I 50, hkl 1 3 0
2θ = 30.46°, I 82, hkl 0 5 1
2θ = 33.14°, I 94, hkl 0 3 3
2θ = 34.28°, I 100, hkl 1 4 1
2θ = 34.72°, I 49, hkl 1 3 2
2θ = 36.74°, I 40, hkl 1 0 3
2θ = 38.61°, I 31, hkl 1 2 3
2θ = 47.42°, I 34, hkl 2 0 0
2θ = 51.52°, I 36, hkl 1 7 2
2θ = 59.06°, I 44, hkl 2 3 3



# 6
# DyEr4Lu2Pd2Se2
Simulated powder diffraction line list, Cu Kα X-rays. Input: a PBE-relaxed structure.

Atomic structure:
Unit cell a=3.856 b=15.077 c=9.292 alpha=90.00 beta=90.00 gamma=90.00
Space group Imm2 (No. 44)
Symmetry-distinct sites (fractional):
Dy1 0.000 0.000 0.000 x2
Er1 0.000 0.122 0.589 x4
Er2 0.000 0.362 0.747 x4
Lu1 0.000 0.319 0.379 x4
Pd1 0.000 0.238 0.075 x4
Se1 0.000 0.000 0.341 x2
Se2 0.000 0.500 0.243 x2

The 10 most intense peaks (2θ from 15° to 90°), by angle:
2θ = 29.19°, I 23, hkl 1 3 0
2θ = 30.71°, I 56, hkl 1 1 2
2θ = 31.18°, I 30, hkl 0 5 1
2θ = 34.00°, I 51, hkl 0 3 3
2θ = 34.65°, I 100, hkl 1 4 1
2θ = 35.12°, I 49, hkl 1 3 2
2θ = 37.23°, I 22, hkl 1 0 3
2θ = 39.17°, I 22, hkl 1 2 3
2θ = 47.14°, I 29, hkl 2 0 0
2θ = 52.51°, I 24, hkl 0 3 5